Starting from the PBE geometry in Alexandria, the XRD peak list of BaPuZn2Au5 was simulated for copper Kα.
Intensities are scaled so that the largest is 100.

Most intense lines, 2θ = 5–70°, low angle first:
| two_theta | I/Imax |
| --- | --- |
| 20.68 | 9 |
| 32.12 | 5 |
| 33.16 | 100 |
| 35.87 | 57 |
| 36.91 | 9 |
| 43.29 | 10 |
| 48.91 | 6 |
| 51.64 | 20 |
| 52.42 | 7 |
| 57.43 | 17 |
| 62.76 | 33 |
| 69.60 | 10 |

Structural model:
```
BaPuZn2Au5
1.0
5.007 0.000 0.000
0.000 5.007 0.000
0.000 0.000 8.361
Ba Pu Zn Au
1 1 2 5
Cartesian
0.000 0.000 0.000 Ba
0.000 0.000 4.180 Pu
2.503 2.503 2.864 Zn
2.503 2.503 5.497 Zn
0.000 2.503 2.274 Au
0.000 2.503 6.086 Au
2.503 0.000 2.274 Au
2.503 0.000 6.086 Au
2.503 2.503 0.000 Au
```